Diffraction record for NdZn6Au6. The powder diffraction line list is simulated, not measured: it uses a structure optimized by DFT (PBE) and Cu Ka.
Peak positions follow from Bragg's law for the DFT cell and can differ from measured ones.

Peak list (10 most intense, 5 to 70 degrees two-theta, low angle first)
| 2theta | intensity |
| --- | --- |
| 30.9 | 19 |
| 33.0 | 100 |
| 34.0 | 69 |
| 38.6 | 75 |
| 39.1 | 54 |
| 39.5 | 65 |
| 43.0 | 28 |
| 44.0 | 64 |
| 44.3 | 25 |
| 69.3 | 30 |

```
13
Lattice="-2.6360 4.5617 4.7448 2.6360 -4.5617 4.7448 2.6360 4.5617 -4.7448" Properties=species:S:1:pos:R:3 pbc="T T T"
Nd 0.0000 0.0000 0.0000
Zn 1.3180 2.2808 -2.3724
Zn 1.3180 -2.2808 2.3724
Zn 2.6360 2.2000 0.0000
Zn -1.3180 2.2808 2.3724
Zn 1.3180 2.2808 2.3724
Zn 0.0000 2.3617 4.7448
Au 2.6360 0.0000 1.7035
Au 0.0000 3.0844 0.0000
Au 0.0000 0.0000 3.2491
Au 0.0000 0.0000 6.2405
Au 0.0000 6.0390 0.0000
Au 0.0000 4.5617 3.0413
```